Diffraction record for Ga3Fe. The powder X-ray diffraction pattern is calculated, not measured: it uses a crystal structure in Alexandria, relaxed with PBE and Cu Kα (weighted mean of Kα1 and Kα2).
Intensities are scaled so that the largest is 100.

```
data_Ga3Fe
_chemical_formula_sum 'Ga12 Fe4'
_space_group_name_H-M_alt 'P 42/m n m'
_space_group_IT_number 136
_space_group_name_Hall '-P 4n 2n'
_cell_length_a 6.266
_cell_length_b 6.266
_cell_length_c 6.546
_cell_angle_alpha 90.00
_cell_angle_beta 90.00
_cell_angle_gamma 90.00
loop_
_atom_site_label
_atom_site_type_symbol
_atom_site_fract_x
_atom_site_fract_y
_atom_site_fract_z
_atom_site_occupancy
Ga1 Ga 0.000 0.500 0.000 1
Ga2 Ga 0.156 0.156 0.237 1
Fe1 Fe 0.156 0.844 0.000 1
```

Main lines, in order of rising 2θ (5° ≤ 2θ ≤ 70°):
(hkl)  d/Å  2θ/deg  intensity
1 0 1  4.527  19.6  24.8
2 1 0  2.802  31.9  20.5
1 1 2  2.633  34.1  38.3
2 0 2  2.263  39.8  27.6
2 2 0  2.215  40.7  12.3
2 1 2  2.129  42.5  100.0
3 1 0  1.982  45.8  56.3
0 0 4  1.637  56.2  15.9
4 0 2  1.413  66.1  14.1
4 1 2  1.378  68.0  13.2